Diffraction record for U3Cu3S8. The powder diffractogram is theoretical, not measured: it uses the GGA-PBE geometry in Alexandria and Cu Kα X-rays.

Structural model:
```
data_U3Cu3S8
_chemical_formula_sum 'U9 Cu9 S24'
_cell_length_a 7.7861
_cell_length_b 7.7861
_cell_length_c 17.4757
_cell_angle_alpha 90.00
_cell_angle_beta 90.00
_cell_angle_gamma 120.00
_space_group_name_H-M_alt 'R -3 m'
_space_group_IT_number 166
_space_group_name_Hall '-R 3 2"'
loop_
_atom_site_label
_atom_site_type_symbol
_atom_site_fract_x
_atom_site_fract_y
_atom_site_fract_z
U1 U 0.0000 0.5000 0.0000
Cu1 Cu 0.0000 0.0000 0.1161
Cu2 Cu 0.0000 0.0000 0.5000
S1 S 0.0000 0.0000 0.2488
S2 S 0.0058 0.5029 0.2505
```

The 10 most intense peaks (10 to 90 degrees two-theta), in order of rising 2θ:
2theta  I/Imax
14.08  34
15.21  68
26.93  100
27.56  54
28.37  41
28.77  28
33.58  87
46.66  58
49.36  22
49.73  47

---

Diffraction record for NaHg2O3. The powder diffractogram is theoretical, not measured: it uses the GGA-PBE geometry in Alexandria and Cu Kα X-rays.

Structural model:
```
data_NaHg2O3
_chemical_formula_sum 'Na2 Hg4 O6'
_cell_length_a 3.570
_cell_length_b 3.570
_cell_length_c 13.409
_cell_angle_alpha 90.00
_cell_angle_beta 90.00
_cell_angle_gamma 90.00
_space_group_name_H-M_alt 'I 4/m m m'
_space_group_IT_number 139
_space_group_name_Hall '-I 4 2'
loop_
_atom_site_label
_atom_site_type_symbol
_atom_site_fract_x
_atom_site_fract_y
_atom_site_fract_z
Na1 Na 0.000 0.000 0.000
Hg1 Hg 0.000 0.000 0.340
O1 O 0.000 0.000 0.176
O2 O 0.000 0.000 0.500
```

The 10 most intense peaks (10 to 90 degrees two-theta), in order of rising 2θ:
2theta  I/Imax
13.21  32
25.83  45
32.09  100
35.57  62
40.36  21
44.95  14
51.18  22
54.87  33
61.70  34
67.11  18

---

Diffraction record for La4PmAg. The powder diffractogram is theoretical, not measured: it uses the GGA-PBE geometry in Alexandria and Cu Kα X-rays.

Structural model:
```
data_La4PmAg
_chemical_formula_sum 'La16 Pm4 Ag4'
_cell_length_a 5.740
_cell_length_b 21.090
_cell_length_c 6.576
_cell_angle_alpha 90.00
_cell_angle_beta 90.00
_cell_angle_gamma 90.00
_space_group_name_H-M_alt 'C m c 21'
_space_group_IT_number 36
loop_
_space_group_symop_operation_xyz
'x,y,z'
'-x,-y,z+1/2'
'-x,y,z'
'x,-y,z+1/2'
'x+1/2,y+1/2,z'
'-x+1/2,-y+1/2,z+1/2'
'-x+1/2,y+1/2,z'
'x+1/2,-y+1/2,z+1/2'
loop_
_atom_site_label
_atom_site_type_symbol
_atom_site_fract_x
_atom_site_fract_y
_atom_site_fract_z
La1 La 0.000 0.038 0.000
La2 La 0.000 0.185 0.823
La3 La 0.000 0.254 0.239
La4 La 0.000 0.439 0.173
Pm1 Pm 0.000 0.368 0.685
Ag1 Ag 0.000 0.110 0.422
```

The 10 most intense peaks (10 to 90 degrees two-theta), in order of rising 2θ:
2theta  I/Imax
28.44  22
28.80  37
29.58  100
31.16  63
31.65  64
33.91  14
36.34  39
42.69  15
42.94  27
54.47  19

---

Diffraction record for BeCd3Se. The powder diffractogram is theoretical, not measured: it uses the GGA-PBE geometry in Alexandria and Cu Kα X-rays.

Structural model:
```
data_BeCd3Se
_chemical_formula_sum 'Be1 Cd3 Se1'
_cell_length_a 4.817
_cell_length_b 4.817
_cell_length_c 4.817
_cell_angle_alpha 90.00
_cell_angle_beta 90.00
_cell_angle_gamma 90.00
_space_group_name_H-M_alt 'P m -3 m'
_space_group_IT_number 221
_space_group_name_Hall '-P 4 2 3'
loop_
_atom_site_label
_atom_site_type_symbol
_atom_site_fract_x
_atom_site_fract_y
_atom_site_fract_z
Be1 Be 0.000 0.000 0.000
Cd1 Cd 0.000 0.000 0.500
Se1 Se 0.500 0.500 0.500
```

The 10 most intense peaks (10 to 90 degrees two-theta), in order of rising 2θ:
2theta  I/Imax
18.42  3
26.16  1
32.19  100
37.34  53
41.94  1
53.83  35
64.12  39
67.35  12
79.62  5
88.48  16

---

Diffraction record for CeHf4S8. The powder diffractogram is theoretical, not measured: it uses the GGA-PBE geometry in Alexandria and Cu Kα X-rays.

Structural model:
```
data_CeHf4S8
_chemical_formula_sum 'Ce3 Hf12 S24'
_cell_length_a 7.2266
_cell_length_b 7.2266
_cell_length_c 19.6508
_cell_angle_alpha 90.00
_cell_angle_beta 90.00
_cell_angle_gamma 120.00
_space_group_name_H-M_alt 'R -3 m'
_space_group_IT_number 166
_space_group_name_Hall '-R 3 2"'
loop_
_atom_site_label
_atom_site_type_symbol
_atom_site_fract_x
_atom_site_fract_y
_atom_site_fract_z
Ce1 Ce 0.0000 0.0000 0.0000
Hf1 Hf 0.0000 0.0000 0.5000
Hf2 Hf 0.0000 0.5000 0.5000
S1 S 0.0000 0.0000 0.2407
S2 S 0.0070 0.5035 0.2439
```

The 10 most intense peaks (10 to 90 degrees two-theta), in order of rising 2θ:
2theta  I/Imax
13.52  89
28.89  38
29.97  37
33.97  100
36.71  17
43.30  18
47.03  38
50.52  33
52.55  17
62.28  17

---

Diffraction record for HoSc3In2. The powder diffractogram is theoretical, not measured: it uses the GGA-PBE geometry in Alexandria and Cu Kα X-rays.

Structural model:
```
data_HoSc3In2
_chemical_formula_sum 'Ho4 Sc12 In8'
_cell_length_a 8.511
_cell_length_b 3.290
_cell_length_c 21.196
_cell_angle_alpha 90.00
_cell_angle_beta 90.00
_cell_angle_gamma 90.00
_space_group_name_H-M_alt 'P n m a'
_space_group_IT_number 62
loop_
_space_group_symop_operation_xyz
'x,y,z'
'-x,-y,-z'
'-x+1/2,-y,z+1/2'
'x+1/2,y,-z+1/2'
'x+1/2,-y+1/2,-z+1/2'
'-x+1/2,y+1/2,z+1/2'
'-x,y+1/2,-z'
'x,-y+1/2,z'
loop_
_atom_site_label
_atom_site_type_symbol
_atom_site_fract_x
_atom_site_fract_y
_atom_site_fract_z
Ho1 Ho 0.155 0.250 0.162
Sc1 Sc 0.046 0.250 0.423
Sc2 Sc 0.108 0.250 0.935
Sc3 Sc 0.215 0.750 0.808
In1 In 0.022 0.250 0.710
In2 In 0.246 0.250 0.540
```

The 10 most intense peaks (10 to 90 degrees two-theta), in order of rising 2θ:
2theta  I/Imax
13.34  80
29.75  25
31.80  54
33.77  100
34.06  37
34.49  92
34.73  27
35.49  32
35.91  38
36.80  40

---

Diffraction record for SrH8Pd5. The powder diffractogram is theoretical, not measured: it uses the GGA-PBE geometry in Alexandria and Cu Kα X-rays.

Structural model:
```
data_SrH8Pd5
_chemical_formula_sum 'Sr1 H8 Pd5'
_cell_length_a 5.005
_cell_length_b 5.297
_cell_length_c 6.262
_cell_angle_alpha 97.84
_cell_angle_beta 99.76
_cell_angle_gamma 97.51
_space_group_name_H-M_alt 'P 1'
_space_group_IT_number 1
loop_
_space_group_symop_operation_xyz
'x,y,z'
loop_
_atom_site_label
_atom_site_type_symbol
_atom_site_fract_x
_atom_site_fract_y
_atom_site_fract_z
Sr1 Sr 0.000 0.000 0.000
H1 H 0.018 0.516 0.980
H2 H 0.305 0.190 0.391
H3 H 0.309 0.225 0.790
H4 H 0.391 0.745 0.347
H5 H 0.408 0.773 0.778
H6 H 0.690 0.406 0.190
H7 H 0.774 0.303 0.629
H8 H 0.907 0.671 0.528
Pd1 Pd 0.044 0.568 0.270
Pd2 Pd 0.122 0.494 0.705
Pd3 Pd 0.361 0.980 0.581
Pd4 Pd 0.566 0.475 0.451
Pd5 Pd 0.643 0.408 0.900
```

The 10 most intense peaks (10 to 90 degrees two-theta), in order of rising 2θ:
2theta  I/Imax
17.11  96
21.07  63
34.62  95
35.15  100
36.58  53
37.71  48
38.18  45
38.28  41
39.53  60
43.48  45

---

Diffraction record for Tb5CePt4. The powder diffractogram is theoretical, not measured: it uses the GGA-PBE geometry in Alexandria and Cu Kα X-rays.

Structural model:
```
data_Tb5CePt4
_chemical_formula_sum 'Tb10 Ce2 Pt8'
_cell_length_a 4.148
_cell_length_b 7.705
_cell_length_c 17.301
_cell_angle_alpha 90.00
_cell_angle_beta 90.00
_cell_angle_gamma 90.00
_space_group_name_H-M_alt 'I m m m'
_space_group_IT_number 71
_space_group_name_Hall '-I 2 2'
loop_
_atom_site_label
_atom_site_type_symbol
_atom_site_fract_x
_atom_site_fract_y
_atom_site_fract_z
Tb1 Tb 0.000 0.000 0.000
Tb2 Tb 0.000 0.243 0.335
Ce1 Ce 0.000 0.500 0.000
Pt1 Pt 0.000 0.253 0.500
Pt2 Pt 0.000 0.500 0.207
```

The 10 most intense peaks (10 to 90 degrees two-theta), in order of rising 2θ:
2theta  I/Imax
19.22  15
20.53  16
26.49  19
31.03  47
32.13  100
41.28  77
43.65  25
47.19  20
54.51  19
66.22  14

---

Diffraction record for Nd4TlSn2. The powder diffractogram is theoretical, not measured: it uses the GGA-PBE geometry in Alexandria and Cu Kα X-rays.

Structural model:
```
data_Nd4TlSn2
_chemical_formula_sum 'Nd8 Tl2 Sn4'
_cell_length_a 5.950
_cell_length_b 6.703
_cell_length_c 10.945
_cell_angle_alpha 90.00
_cell_angle_beta 100.79
_cell_angle_gamma 90.00
_space_group_name_H-M_alt 'P 1 21/m 1'
_space_group_IT_number 11
loop_
_space_group_symop_operation_xyz
'x,y,z'
'-x,-y,-z'
'-x,y+1/2,-z'
'x,-y+1/2,z'
loop_
_atom_site_label
_atom_site_type_symbol
_atom_site_fract_x
_atom_site_fract_y
_atom_site_fract_z
Nd1 Nd 0.144 0.250 0.125
Nd2 Nd 0.252 0.750 0.451
Nd3 Nd 0.319 0.013 0.736
Tl1 Tl 0.102 0.750 0.170
Sn1 Sn 0.213 0.250 0.434
Sn2 Sn 0.412 0.750 0.999
```

The 10 most intense peaks (10 to 90 degrees two-theta), in order of rising 2θ:
2theta  I/Imax
26.60  43
30.15  90
31.11  71
31.46  59
31.63  100
32.65  62
34.00  68
36.68  35
46.72  34
54.42  37

---

Diffraction record for Ta2V4W. The powder diffractogram is theoretical, not measured: it uses the GGA-PBE geometry in Alexandria and Cu Kα X-rays.

Structural model:
```
data_Ta2V4W
_chemical_formula_sum 'Ta4 V8 W2'
_cell_length_a 4.492
_cell_length_b 4.492
_cell_length_c 13.010
_cell_angle_alpha 90.00
_cell_angle_beta 90.00
_cell_angle_gamma 90.00
_space_group_name_H-M_alt 'I 4/m m m'
_space_group_IT_number 139
_space_group_name_Hall '-I 4 2'
loop_
_atom_site_label
_atom_site_type_symbol
_atom_site_fract_x
_atom_site_fract_y
_atom_site_fract_z
Ta1 Ta 0.000 0.000 0.122
V1 V 0.000 0.000 0.311
V2 V 0.000 0.500 0.000
W1 W 0.000 0.000 0.500
```

The 10 most intense peaks (10 to 90 degrees two-theta), in order of rising 2θ:
2theta  I/Imax
13.61  31
28.09  65
28.61  45
39.66  13
40.09  100
50.03  20
58.02  51
65.73  12
71.64  9
86.65  17